Diffraction record for Tb2Te4O11. The X-ray powder pattern is calculated, not measured: it uses DFT lattice parameters and positions (PBE) and Cu Kα.
No peak broadening, texture or thermal motion is included.

```
data_Tb2Te4O11
_chemical_formula_sum 'Tb4 Te8 O22'
_symmetry_space_group_name_H-M 'P 1'
_symmetry_Int_Tables_number 1
_symmetry_space_group_name_Hall 'P 1'
_cell_length_a 6.7776
_cell_length_b 6.7776
_cell_length_c 16.4209
_cell_angle_alpha 103.77
_cell_angle_beta 103.77
_cell_angle_gamma 45.04
loop_
_atom_site_label
_atom_site_fract_x
_atom_site_fract_y
_atom_site_fract_z
Tb1 0.1304 0.6319 0.9626
Tb2 0.3681 0.8696 0.5374
Tb3 0.6319 0.1304 0.4626
Tb4 0.8696 0.3681 0.0374
Te1 0.1524 0.5876 0.6244
Te2 0.1604 0.5985 0.3023
Te3 0.4015 0.8396 0.1977
Te4 0.4124 0.8476 0.8756
Te5 0.5876 0.1524 0.1244
Te6 0.5985 0.1604 0.8023
Te7 0.8396 0.4015 0.6977
Te8 0.8476 0.4124 0.3756
O1 0.0387 0.8224 0.5450
O2 0.0949 0.2020 0.1669
O3 0.1491 0.8509 0.2500
O4 0.1776 0.9613 0.9550
O5 0.1914 0.3160 0.3737
O6 0.2020 0.0949 0.6669
O7 0.2480 0.3352 0.0518
O8 0.3160 0.1914 0.8737
O9 0.3352 0.2480 0.5518
O10 0.3988 0.5541 0.4034
O11 0.4459 0.6012 0.0966
O12 0.5541 0.3988 0.9034
O13 0.6012 0.4459 0.5966
O14 0.6648 0.7520 0.4482
O15 0.6840 0.8086 0.1263
O16 0.7520 0.6648 0.9482
O17 0.7980 0.9051 0.3331
O18 0.8086 0.6840 0.6263
O19 0.8224 0.0387 0.0450
O20 0.8509 0.1491 0.7500
O21 0.9051 0.7980 0.8331
O22 0.9613 0.1776 0.4550
```

Most intense lines, 2θ from 15° to 90°, sorted by position:
2θ/deg	I_rel
26.40	100
29.53	32
29.65	66
33.30	21
34.55	17
40.60	15
46.08	21
48.50	18
48.74	18
54.36	25